Record 1
Starting from a PBE-relaxed structure, the powder diffraction line list of K2RhI5 was computed for Cu Kα (weighted mean of Kα1 and Kα2).
No peak broadening, texture or thermal motion is included.

```
data_K2RhI5
_chemical_formula_sum 'K2 Rh1 I5'
_cell_length_a 5.4414
_cell_length_b 8.3185
_cell_length_c 8.9879
_cell_angle_alpha 62.75
_cell_angle_beta 72.48
_cell_angle_gamma 89.99
_symmetry_space_group_name_H-M 'P 1'
_symmetry_Int_Tables_number 1
loop_
_symmetry_equiv_pos_as_xyz
'x,y,z'
loop_
_atom_site_label
_atom_site_fract_x
_atom_site_fract_y
_atom_site_fract_z
_atom_site_occupancy
K1 0.0000 0.0000 0.0000 1
K2 0.3335 0.3354 0.3278 1
Rh1 0.6668 0.6707 0.6641 1
I1 0.1664 0.7339 0.6649 1
I2 0.5358 0.7657 0.9283 1
I3 0.5417 0.3143 0.9153 1
I4 0.7931 0.5684 0.4090 1
I5 0.7963 0.0289 0.4035 1
```

Most intense lines, 2θ from 10° to 90°, by angle:
2θ (°)	Rel. int.
12.16	100
17.33	70
24.14	38
27.64	74
32.19	38
32.38	41
32.53	41
32.92	58

=====

Record 2
Starting from a PBE-relaxed structure, the powder diffraction line list of B2C3 was computed for Cu Kα (weighted mean of Kα1 and Kα2).
No peak broadening, texture or thermal motion is included.

```
data_B2C3
_chemical_formula_sum 'B12 C18'
_cell_length_a 2.6465
_cell_length_b 2.6465
_cell_length_c 37.2302
_cell_angle_alpha 90.00
_cell_angle_beta 90.00
_cell_angle_gamma 120.00
_symmetry_space_group_name_H-M 'R -3 m'
_symmetry_Int_Tables_number 166
_symmetry_space_group_name_Hall '-R 3 2"'
loop_
_atom_site_label
_atom_site_fract_x
_atom_site_fract_y
_atom_site_fract_z
_atom_site_occupancy
B1 0.0000 0.0000 0.0516 1
B2 0.0000 0.0000 0.4344 1
C1 0.0000 0.0000 0.1743 1
C2 0.0000 0.0000 0.2144 1
C3 0.0000 0.0000 0.3894 1
```

Most intense lines, 2θ from 10° to 90°, by angle:
2θ (°)	Rel. int.
14.27	55
21.48	45
28.78	12
41.21	100
43.77	35
44.04	26
71.29	56
87.52	20

=====

Record 3
Starting from a PBE-relaxed structure, the powder diffraction line list of TbAl9Pd2 was computed for Cu Kα (weighted mean of Kα1 and Kα2).
No peak broadening, texture or thermal motion is included.

```
data_TbAl9Pd2
_chemical_formula_sum 'Tb4 Al36 Pd8'
_cell_length_a 10.7031
_cell_length_b 10.7031
_cell_length_c 7.1912
_cell_angle_alpha 90.00
_cell_angle_beta 90.00
_cell_angle_gamma 90.00
_symmetry_space_group_name_H-M 'I 41/a m d'
_symmetry_Int_Tables_number 141
loop_
_symmetry_equiv_pos_as_xyz
'x,y,z'
'-x,-y,-z'
'-y+1/4,x+3/4,z+1/4'
'y+1/4,-x+3/4,-z+1/4'
'-x+1/2,-y,z+1/2'
'x+1/2,y,-z+1/2'
'y+1/4,-x+1/4,z+3/4'
'-y+1/4,x+1/4,-z+3/4'
'x,-y,-z'
'-x,y,z'
'-y+1/4,-x+1/4,-z+3/4'
'y+1/4,x+1/4,z+3/4'
'-x+1/2,y,-z+1/2'
'x+1/2,-y,z+1/2'
'y+1/4,x+3/4,-z+1/4'
'-y+1/4,-x+3/4,z+1/4'
'x+1/2,y+1/2,z+1/2'
'-x+1/2,-y+1/2,-z+1/2'
'-y+3/4,x+1/4,z+3/4'
'y+3/4,-x+1/4,-z+3/4'
'-x,-y+1/2,z'
'x,y+1/2,-z'
'y+3/4,-x+3/4,z+1/4'
'-y+3/4,x+3/4,-z+1/4'
'x+1/2,-y+1/2,-z+1/2'
'-x+1/2,y+1/2,z+1/2'
'-y+3/4,-x+3/4,-z+1/4'
'y+3/4,x+3/4,z+1/4'
'-x,y+1/2,-z'
'x,-y+1/2,z'
'y+3/4,x+1/4,-z+3/4'
'-y+3/4,-x+1/4,z+3/4'
loop_
_atom_site_label
_atom_site_fract_x
_atom_site_fract_y
_atom_site_fract_z
_atom_site_occupancy
Tb1 0.0000 0.2500 0.3750 1
Al1 0.0000 0.2500 0.8750 1
Al2 0.1219 0.0480 0.6798 1
Pd1 0.0000 0.0000 0.0000 1
```

Most intense lines, 2θ from 10° to 90°, by angle:
2θ (°)	Rel. int.
22.31	100
32.63	69
33.49	34
36.46	60
37.58	34
38.49	34
45.53	41
47.46	23

=====

Record 4
Starting from a PBE-relaxed structure, the powder diffraction line list of Li2AgF4 was computed for Cu Kα (weighted mean of Kα1 and Kα2).
No peak broadening, texture or thermal motion is included.

```
data_Li2AgF4
_chemical_formula_sum 'Li36 Ag18 F72'
_cell_length_a 14.1126
_cell_length_b 14.1126
_cell_length_c 10.6845
_cell_angle_alpha 90.00
_cell_angle_beta 90.00
_cell_angle_gamma 120.00
_symmetry_space_group_name_H-M 'R -3'
_symmetry_Int_Tables_number 148
_symmetry_space_group_name_Hall '-R 3'
loop_
_atom_site_label
_atom_site_fract_x
_atom_site_fract_y
_atom_site_fract_z
_atom_site_occupancy
Li1 0.0213 0.7964 0.0781 1
Li2 0.0402 0.8046 0.4177 1
Ag1 0.0782 0.8629 0.7395 1
F1 0.0008 0.6909 0.7336 1
F2 0.0379 0.8605 0.2497 1
F3 0.0977 0.8750 0.9374 1
F4 0.0987 0.5406 0.2139 1
```

Most intense lines, 2θ from 10° to 90°, by angle:
2θ (°)	Rel. int.
16.71	76
18.12	85
20.95	100
21.82	57
25.49	35
27.61	55
33.60	34
38.27	58

=====

Record 5
Starting from a PBE-relaxed structure, the powder diffraction line list of CaPb2Au9 was computed for Cu Kα (weighted mean of Kα1 and Kα2).
No peak broadening, texture or thermal motion is included.

```
data_CaPb2Au9
_chemical_formula_sum 'Ca2 Pb4 Au18'
_cell_length_a 5.7229
_cell_length_b 5.7229
_cell_length_c 18.4235
_cell_angle_alpha 90.00
_cell_angle_beta 90.00
_cell_angle_gamma 120.00
_symmetry_space_group_name_H-M 'P 63/m m c'
_symmetry_Int_Tables_number 194
_symmetry_space_group_name_Hall '-P 6c 2c'
loop_
_atom_site_label
_atom_site_fract_x
_atom_site_fract_y
_atom_site_fract_z
_atom_site_occupancy
Ca1 0.3333 0.6667 0.2500 1
Pb1 0.3333 0.6667 0.0375 1
Au1 0.0000 0.0000 0.0000 1
Au2 0.0000 0.0000 0.2500 1
Au3 0.1682 0.3365 0.6244 1
Au4 0.3333 0.6667 0.7500 1
```

Most intense lines, 2θ from 10° to 90°, by angle:
2θ (°)	Rel. int.
18.54	29
36.59	29
36.98	100
38.74	30
39.18	89
59.44	26
65.21	30
78.76	29

=====

Record 6
Starting from a PBE-relaxed structure, the powder diffraction line list of Tl2In6Pb was computed for Cu Kα (weighted mean of Kα1 and Kα2).
No peak broadening, texture or thermal motion is included.

```
data_Tl2In6Pb
_chemical_formula_sum 'Tl2 In6 Pb1'
_cell_length_a 9.6060
_cell_length_b 9.6060
_cell_length_c 3.2557
_cell_angle_alpha 90.00
_cell_angle_beta 90.00
_cell_angle_gamma 120.00
_symmetry_space_group_name_H-M 'P -3 1 m'
_symmetry_Int_Tables_number 162
_symmetry_space_group_name_Hall '-P 3 2'
loop_
_atom_site_label
_atom_site_fract_x
_atom_site_fract_y
_atom_site_fract_z
_atom_site_occupancy
Tl1 0.3333 0.6667 0.0000 1
In1 0.0000 0.3361 0.6878 1
Pb1 0.0000 0.0000 0.5000 1
```

Most intense lines, 2θ from 10° to 90°, by angle:
2θ (°)	Rel. int.
29.46	24
32.28	100
33.24	46
39.86	22
47.02	17
57.57	19
58.18	18
60.01	18